Calculated X-ray powder pattern
Compound: BaCu2Se2
Radiation: a wavelength of 1.5418 Å
Structure: a crystal structure in Alexandria, relaxed with GGA-PBE
Lines closer than 0.1° are merged.

Cell and atoms:
Cell lengths 7.966, 10.703, 10.953 Å; angles 90.00, 90.00, 90.00 degrees
Space group Fddd (No. 70, origin choice 2)
Asymmetric unit:
Ba 0.125 0.125 0.125
Cu 0.125 0.005 0.625
Se 0.125 0.125 0.425

The 10 most intense peaks (2θ = 5–70°), low angle first:
Position (°2θ)	I_rel	index
27.69	227	2 0 2
27.92	1000	2 2 0
28.15	276	1 1 3
28.60	298	1 3 1
32.71	369	0 0 4
36.99	632	1 3 3
43.53	232	2 2 4
45.55	262	4 0 0
49.54	268	3 3 3
50.75	287	1 5 3